Entry 1:
Diffraction record for KZnP2H5O9. The powder diffraction line list is simulated, not measured: it uses a structure optimized by DFT (PBE) and Cu Kα, 1.54184 Å.
Peak positions follow from Bragg's law for the DFT cell and can differ from measured ones.

Largest 6 diffraction maxima, in order of falling intensity, 10° ≤ 2θ ≤ 80°:
2theta	I_rel	index
26.70	100	-1 1 2
14.81	40	1 1 0
15.70	35	1 1 1
12.21	23	0 0 1
30.83	19	2 -1 0
27.72	18	2 0 1

Cell and atoms:
a b c (Å): 7.732 7.996 8.068
angles (deg): 64.08 84.54 72.08
Space group P-1 (No. 2)
Symmetry-distinct sites (fractional):
K 0.148 0.271 0.225 [2 per cell]
Zn 0.259 0.733 0.028 [2 per cell]
P 0.081 0.179 0.740 [2 per cell]
P 0.380 0.550 0.746 [2 per cell]
H 0.140 0.775 0.440 [2 per cell]
H 0.201 0.423 0.579 [2 per cell]
H 0.447 0.826 0.270 [2 per cell]
H 0.450 0.033 0.734 [2 per cell]
H 0.467 0.797 0.531 [2 per cell]
O 0.027 0.710 0.151 [2 per cell]
O 0.046 0.892 0.342 [2 per cell]
O 0.160 0.317 0.565 [2 per cell]
O 0.238 0.002 0.852 [2 per cell]
O 0.257 0.581 0.589 [2 per cell]
O 0.266 0.562 0.911 [2 per cell]
O 0.441 0.924 0.317 [2 per cell]
O 0.472 0.650 0.191 [2 per cell]
O 0.476 0.717 0.673 [2 per cell]

Entry 2:
Diffraction record for K3Pa2H2O5. The powder diffraction line list is simulated, not measured: it uses a structure optimized by DFT (PBE) and Cu Kα, 1.54184 Å.
Peak positions follow from Bragg's law for the DFT cell and can differ from measured ones.

Largest 6 diffraction maxima, in order of falling intensity, 10° ≤ 2θ ≤ 80°:
2theta	I_rel	index
27.94	100	1 0 5
20.57	71	1 0 1
28.74	44	1 1 0
50.42	40	2 1 5
15.25	38	0 0 4
41.09	26	2 0 0

Cell and atoms:
a b c (Å): 4.394 4.394 23.239
angles (deg): 90.00 90.00 90.00
Space group I4/mmm (No. 139)
Symmetry-distinct sites (fractional):
K 0.000 0.000 0.000 [2 per cell]
K 0.000 0.000 0.187 [4 per cell]
Pa 0.000 0.000 0.405 [4 per cell]
H 0.000 0.000 0.304 [4 per cell]
O 0.000 0.000 0.500 [2 per cell]
O 0.000 0.500 0.102 [8 per cell]

Entry 3:
Diffraction record for KHPtO2. The powder diffraction line list is simulated, not measured: it uses a structure optimized by DFT (PBE) and Cu Kα, 1.54184 Å.
Peak positions follow from Bragg's law for the DFT cell and can differ from measured ones.

Largest 6 diffraction maxima, in order of falling intensity, 10° ≤ 2θ ≤ 80°:
2theta	I_rel	index
26.62	100	0 1 1
19.48	70	0 0 1
17.97	50	0 1 0
38.64	39	1 1 -1
38.88	38	1 1 1
27.65	33	1 0 0

Cell and atoms:
a b c (Å): 3.226 4.938 4.557
angles (deg): 90.00 90.45 90.00
Space group P2/m (No. 10)
Symmetry-distinct sites (fractional):
K 0.000 0.000 0.000 [1 per cell]
H 0.500 0.000 0.500 [1 per cell]
Pt 0.000 0.500 0.500 [1 per cell]
O 0.500 0.243 0.500 [2 per cell]

Entry 4:
Diffraction record for K2PuH2O4. The powder diffraction line list is simulated, not measured: it uses a structure optimized by DFT (PBE) and Cu Kα, 1.54184 Å.
Peak positions follow from Bragg's law for the DFT cell and can differ from measured ones.

Largest 6 diffraction maxima, in order of falling intensity, 10° ≤ 2θ ≤ 80°:
2theta	I_rel	index
14.98	100	2 0 0
17.26	74	2 0 -1
27.00	74	1 1 0
14.58	73	0 0 1
38.43	55	1 1 -2
24.12	51	2 0 1

Cell and atoms:
a b c (Å): 12.479 3.439 6.414
angles (deg): 90.00 108.63 90.00
Space group C2/m (No. 12)
Symmetry-distinct sites (fractional):
K 0.141 0.000 0.074 [4 per cell]
Pu 0.000 0.000 0.500 [2 per cell]
H 0.241 0.000 0.590 [4 per cell]
O 0.017 0.500 0.295 [4 per cell]
O 0.197 0.000 0.691 [4 per cell]

Entry 5:
Diffraction record for K3PuH6O8. The powder diffraction line list is simulated, not measured: it uses a structure optimized by DFT (PBE) and Cu Kα, 1.54184 Å.
Peak positions follow from Bragg's law for the DFT cell and can differ from measured ones.

Largest 6 diffraction maxima, in order of falling intensity, 10° ≤ 2θ ≤ 80°:
2theta	I_rel	index
24.61	100	1 2 0
16.82	99	1 1 -1
12.70	83	1 0 0
16.69	81	0 1 1
31.29	46	1 2 -2
21.03	39	0 2 0

Cell and atoms:
a b c (Å): 7.930 8.450 7.766
angles (deg): 90.00 118.46 90.00
Space group P2_1/c (No. 14)
Symmetry-distinct sites (fractional):
K 0.000 0.000 0.000 [2 per cell]
K 0.403 0.193 0.946 [4 per cell]
Pu 0.000 0.000 0.500 [2 per cell]
H 0.195 0.712 0.861 [4 per cell]
H 0.366 0.537 0.817 [4 per cell]
H 0.427 0.540 0.124 [4 per cell]
O 0.132 0.195 0.558 [4 per cell]
O 0.163 0.569 0.263 [4 per cell]
O 0.226 0.600 0.904 [4 per cell]
O 0.451 0.003 0.262 [4 per cell]

Entry 6:
Diffraction record for K2H2RuO5. The powder diffraction line list is simulated, not measured: it uses a structure optimized by DFT (PBE) and Cu Kα, 1.54184 Å.
Peak positions follow from Bragg's law for the DFT cell and can differ from measured ones.

Largest 6 diffraction maxima, in order of falling intensity, 10° ≤ 2θ ≤ 80°:
2theta	I_rel	index
19.84	100	0 1 2
27.49	89	2 0 1
26.89	85	1 2 1
18.92	79	1 1 1
21.09	52	1 0 2
25.55	44	1 2 0

Cell and atoms:
a b c (Å): 6.809 8.117 10.726
angles (deg): 90.00 90.00 90.00
Space group P2_12_12_1 (No. 19)
Symmetry-distinct sites (fractional):
K 0.042 0.244 0.186 [4 per cell]
K 0.132 0.901 0.954 [4 per cell]
H 0.145 0.576 0.095 [4 per cell]
H 0.153 0.228 0.709 [4 per cell]
Ru 0.097 0.441 0.881 [4 per cell]
O 0.024 0.541 0.050 [4 per cell]
O 0.137 0.242 0.943 [4 per cell]
O 0.142 0.996 0.677 [4 per cell]
O 0.177 0.347 0.708 [4 per cell]
O 0.197 0.422 0.372 [4 per cell]

What did the second record say?
Diffraction record for K3Pa2H2O5. The powder diffraction line list is simulated, not measured: it uses a structure optimized by DFT (PBE) and Cu Kα, 1.54184 Å.
Peak positions follow from Bragg's law for the DFT cell and can differ from measured ones.

Largest 6 diffraction maxima, in order of falling intensity, 10° ≤ 2θ ≤ 80°:
2theta	I_rel	index
27.94	100	1 0 5
20.57	71	1 0 1
28.74	44	1 1 0
50.42	40	2 1 5
15.25	38	0 0 4
41.09	26	2 0 0

Cell and atoms:
a b c (Å): 4.394 4.394 23.239
angles (deg): 90.00 90.00 90.00
Space group I4/mmm (No. 139)
Symmetry-distinct sites (fractional):
K 0.000 0.000 0.000 [2 per cell]
K 0.000 0.000 0.187 [4 per cell]
Pa 0.000 0.000 0.405 [4 per cell]
H 0.000 0.000 0.304 [4 per cell]
O 0.000 0.000 0.500 [2 per cell]
O 0.000 0.500 0.102 [8 per cell]

Q: Which formula does entry 3 have?
A: KHPtO2